For Na4CoH6, a DFT-relaxed cell (GGA-PBE, Alexandria) gives the computed PXRD pattern in this record (CuKα).
Lines closer than 0.1° are merged.

Atomic structure:
```
Na4CoH6
1.0
6.4848 0.0000 0.0000
0.0000 6.4848 0.0000
0.0000 0.0000 6.5828
Na Co H
8 2 12
Cartesian
1.2488 1.9936 1.6457
1.2488 1.9936 4.9371
1.9936 5.2360 1.6457
1.9936 5.2360 4.9371
4.4912 1.2488 1.6457
4.4912 1.2488 4.9371
5.2360 4.4912 1.6457
5.2360 4.4912 4.9371
0.0000 0.0000 0.0000
3.2424 3.2424 3.2914
0.0000 0.0000 1.6056
0.0000 0.0000 4.9772
0.3436 4.8952 0.0000
1.5897 0.3436 0.0000
1.6527 3.5860 3.2914
2.8988 1.6527 3.2914
3.2424 3.2424 1.6858
3.2424 3.2424 4.8970
3.5860 4.8321 3.2914
4.8321 2.8988 3.2914
4.8952 6.1412 0.0000
6.1412 1.5897 0.0000
```

Principal peaks in the range 10 to 90 degrees two-theta, low angle first:
2theta	Rel. int.	index
19.2	100	1 0 1
19.4	33	1 1 0
30.8	24	2 1 0
33.5	28	1 1 2
33.8	38	2 1 1
39.0	63	2 0 2
39.3	23	2 2 0
41.5	23	2 1 2
43.5	11	1 0 3
44.1	32	3 1 0
52.3	10	2 1 3
67.6	11	3 3 2